Diffraction record for SrVO3. The powder diffraction line list is simulated, not measured: it uses a cell relaxed with GGA+U and Cu Kα.
Lines closer than 0.1° are merged.

Largest 10 diffraction maxima, sorted by position, 10 to 90 degrees two-theta:
two_theta  I/Imax
22.8  3
32.5  100
40.0  19
46.6  40
52.5  2
57.9  37
68.0  23
77.4  16
81.9  6
86.4  8

Lattice parameters (Å, degrees): 3.901 3.901 3.901 90.00 90.00 90.00
Fractional positions:
Sr (0.000, 0.000, 0.000)
V (0.500, 0.500, 0.500)
O (0.000, 0.500, 0.500)
O (0.500, 0.000, 0.500)
O (0.500, 0.500, 0.000)